1.
The following is a calculated X-ray diffraction stick pattern of AcIn2Te4. It was derived from a cell relaxed with PBE, using CuKα.

Top 10 peaks for 10 to 90 degrees two-theta, in order of rising 2θ:
Position (°2θ)  I/Imax
18.1  19
22.7  100
27.9  13
32.8  13
36.7  55
38.8  23
41.8  20
45.4  28
58.3  13
68.8  13

Crystal structure
Lattice parameters (Å, degrees): 6.571 6.571 7.329 90.00 90.00 90.00
Positions (direct):
Ac (0.000, 0.000, 0.000)
In (0.000, 0.500, 0.500)
In (0.500, 0.000, 0.500)
Te (0.278, 0.278, 0.262)
Te (0.278, 0.722, 0.738)
Te (0.722, 0.278, 0.738)
Te (0.722, 0.722, 0.262)



2.
The following is a calculated X-ray diffraction stick pattern of Ac2InTe5. It was derived from a cell relaxed with PBE, using CuKα.

Top 10 peaks for 10 to 90 degrees two-theta, in order of rising 2θ:
Position (°2θ)  I/Imax
10.9  59
14.6  71
22.0  70
27.2  78
29.2  100
35.3  50
36.4  35
38.6  25
40.3  84
47.9  28

Crystal structure
Lattice parameters (Å, degrees): 8.752 8.752 14.004 90.00 90.00 136.06
Positions (direct):
Ac (0.168, 0.832, 0.575)
Ac (0.168, 0.832, 0.925)
Ac (0.832, 0.168, 0.075)
Ac (0.832, 0.168, 0.425)
In (0.179, 0.821, 0.250)
In (0.821, 0.179, 0.750)
Te (0.033, 0.967, 0.105)
Te (0.033, 0.967, 0.395)
Te (0.303, 0.697, 0.750)
Te (0.306, 0.694, 0.097)
Te (0.306, 0.694, 0.403)
Te (0.694, 0.306, 0.597)
Te (0.694, 0.306, 0.903)
Te (0.697, 0.303, 0.250)
Te (0.967, 0.033, 0.605)
Te (0.967, 0.033, 0.895)



3.
The following is a calculated X-ray diffraction stick pattern of Ac2Tl2In. It was derived from a cell relaxed with PBE, using CuKα.

Top 10 peaks for 10 to 90 degrees two-theta, in order of rising 2θ:
Position (°2θ)  I/Imax
15.3  8
28.0  16
30.1  100
34.6  27
35.5  19
47.0  7
49.2  12
50.4  19
60.4  20
63.8  13

Crystal structure
Lattice parameters (Å, degrees): 8.204 8.204 10.117 90.00 90.00 90.00
Positions (direct):
Ac (0.171, 0.329, 0.000)
Ac (0.171, 0.329, 0.500)
Ac (0.329, 0.829, 0.000)
Ac (0.329, 0.829, 0.500)
Ac (0.671, 0.171, 0.000)
Ac (0.671, 0.171, 0.500)
Ac (0.829, 0.671, 0.000)
Ac (0.829, 0.671, 0.500)
Tl (0.133, 0.633, 0.250)
Tl (0.133, 0.633, 0.750)
Tl (0.367, 0.133, 0.250)
Tl (0.367, 0.133, 0.750)
Tl (0.633, 0.867, 0.250)
Tl (0.633, 0.867, 0.750)
Tl (0.867, 0.367, 0.250)
Tl (0.867, 0.367, 0.750)
In (0.000, 0.000, 0.250)
In (0.000, 0.000, 0.750)
In (0.500, 0.500, 0.250)
In (0.500, 0.500, 0.750)



4.
The following is a calculated X-ray diffraction stick pattern of Ac3TlIn. It was derived from a cell relaxed with PBE, using CuKα.

Top 10 peaks for 10 to 90 degrees two-theta, in order of rising 2θ:
Position (°2θ)  I/Imax
29.6  100
31.4  45
39.4  10
45.1  17
51.2  18
54.8  36
61.4  11
73.6  8
83.0  7
87.8  8

Crystal structure
Lattice parameters (Å, degrees): 11.785 11.785 5.691 90.00 90.00 152.07
Positions (direct):
Ac (0.060, 0.940, 0.750)
Ac (0.249, 0.751, 0.750)
Ac (0.438, 0.562, 0.750)
Ac (0.562, 0.438, 0.250)
Ac (0.751, 0.249, 0.250)
Ac (0.940, 0.060, 0.250)
Tl (0.346, 0.654, 0.250)
Tl (0.654, 0.346, 0.750)
In (0.154, 0.846, 0.250)
In (0.846, 0.154, 0.750)